# Y5Tc2
Simulated X-ray powder pattern, Cu Kα (λ = 1.5418 Å). Input: a DFT-relaxed cell (GGA-PBE, Alexandria).
Intensities are scaled so that the largest is 100.

Peak list (10 most intense, 2θ = 10–80°, by angle)
2θ 19.9, d 4.472, intensity 51; 2θ 31.1, d 2.874, intensity 100; 2θ 31.8, d 2.815, intensity 61; 2θ 32.7, d 2.741, intensity 72; 2θ 33.7, d 2.658, intensity 54; 2θ 34.4, d 2.607, intensity 44; 2θ 35.2, d 2.549, intensity 42; 2θ 35.4, d 2.539, intensity 61; 2θ 37.8, d 2.379, intensity 48; 2θ 38.8, d 2.321, intensity 63

Atomic structure:
Unit cell a=8.5408 b=8.5408 c=7.5054 alpha=96.83 beta=96.83 gamma=42.78
Element x y z (fractional)
Y  0.0916  0.9084  0.7500
Y  0.1291  0.3036  0.3173
Y  0.2903  0.5269  0.0836
Y  0.3036  0.1291  0.8173
Y  0.4731  0.7097  0.4164
Y  0.5269  0.2903  0.5836
Y  0.6964  0.8709  0.1827
Y  0.7097  0.4731  0.9164
Y  0.8709  0.6964  0.6827
Y  0.9084  0.0916  0.2500
Tc  0.0946  0.6863  0.4228
Tc  0.3137  0.9054  0.0772
Tc  0.6863  0.0946  0.9228
Tc  0.9054  0.3137  0.5772